# 1
Structure and theoretical powder diffractogram of Pm2TmGe4Rh3 (the GGA-PBE geometry in Alexandria; a wavelength of 1.5418 Å).

Cell and atoms:
Unit cell a=4.2499 b=4.2499 c=11.0631 alpha=90.00 beta=90.00 gamma=90.00
Element x y z (fractional)
Pm  0.0000  0.5000  0.2295
Pm  0.5000  0.0000  0.7705
Tm  0.0000  0.0000  0.5000
Ge  0.0000  0.0000  0.0000
Ge  0.0000  0.5000  0.6651
Ge  0.5000  0.0000  0.3349
Ge  0.5000  0.5000  0.0000
Rh  0.0000  0.5000  0.8851
Rh  0.5000  0.0000  0.1149
Rh  0.5000  0.5000  0.5000

The 10 most intense peaks (10° ≤ 2θ ≤ 90°), by angle:
2θ (°)	Rel. int.
30.8	13
32.1	42
33.9	100
38.8	13
42.5	55
44.5	17
46.3	16
54.3	26
61.7	18
72.4	22

# 2
Structure and theoretical powder diffractogram of PmTm3Th4S8 (the GGA-PBE geometry in Alexandria; a wavelength of 1.5418 Å).

Cell and atoms:
Unit cell a=8.0897 b=8.0897 c=8.0897 alpha=57.55 beta=57.55 gamma=57.55
Element x y z (fractional)
Pm  0.0000  0.0000  0.0000
Tm  0.0000  0.5000  0.5000
Tm  0.5000  0.0000  0.5000
Tm  0.5000  0.5000  0.0000
Th  0.0000  0.0000  0.5000
Th  0.0000  0.5000  0.0000
Th  0.5000  0.0000  0.0000
Th  0.5000  0.5000  0.5000
S  0.2484  0.2484  0.7365
S  0.2484  0.7365  0.2484
S  0.2573  0.2573  0.2573
S  0.2635  0.7516  0.7516
S  0.7365  0.2484  0.2484
S  0.7427  0.7427  0.7427
S  0.7516  0.2635  0.7516
S  0.7516  0.7516  0.2635

The 10 most intense peaks (10° ≤ 2θ ≤ 90°), by angle:
2θ (°)	Rel. int.
26.5	26
27.9	69
31.9	100
44.9	38
46.6	35
52.9	13
54.5	24
57.6	19
74.6	17
77.2	16